# 1
This entry pairs a crystal structure of BaBeNiP2 with its simulated PXRD pattern. Radiation: CuKα. Structure: a cell relaxed with GGA-PBE.
Lines closer than 0.1° are merged.

Main lines, by angle (2θ from 10° to 90°):
| 2θ/deg | intensity |
| --- | --- |
| 15.63 | 473 |
| 17.72 | 410 |
| 25.10 | 528 |
| 26.15 | 359 |
| 26.72 | 394 |
| 29.47 | 717 |
| 31.56 | 679 |
| 32.42 | 987 |
| 33.73 | 1000 |
| 38.55 | 460 |

Cell and atoms:
a b c (Å): 5.989 5.989 9.125
angles (deg): 94.63 94.63 36.35
Fractional coordinates of all 10 atoms:
Ba (0.149, 0.149, 0.167)
Ba (0.851, 0.851, 0.833)
Be (0.430, 0.430, 0.320)
Be (0.570, 0.570, 0.680)
Ni (0.184, 0.184, 0.559)
Ni (0.816, 0.816, 0.441)
P (0.126, 0.126, 0.797)
P (0.388, 0.388, 0.555)
P (0.612, 0.612, 0.445)
P (0.874, 0.874, 0.203)

---

# 2
This entry pairs a crystal structure of BaNpBe2O8 with its simulated PXRD pattern. Radiation: CuKα. Structure: a cell relaxed with GGA-PBE.
Lines closer than 0.1° are merged.

Main lines, by angle (2θ from 10° to 90°):
| 2θ/deg | intensity |
| --- | --- |
| 19.81 | 1000 |
| 24.26 | 532 |
| 26.05 | 294 |
| 26.55 | 313 |
| 28.18 | 572 |
| 31.60 | 228 |
| 37.15 | 268 |
| 40.19 | 373 |
| 41.40 | 322 |
| 41.73 | 222 |

Cell and atoms:
a b c (Å): 4.982 4.982 7.643
angles (deg): 111.52 111.52 69.27
Fractional coordinates of all 12 atoms:
Ba (0.000, 0.000, 0.000)
Np (0.000, 0.000, 0.500)
Be (0.458, 0.458, 0.707)
Be (0.542, 0.542, 0.293)
O (0.195, 0.687, 0.281)
O (0.249, 0.249, 0.539)
O (0.313, 0.805, 0.719)
O (0.419, 0.419, 0.916)
O (0.581, 0.581, 0.084)
O (0.687, 0.195, 0.281)
O (0.751, 0.751, 0.461)
O (0.805, 0.313, 0.719)

---

# 3
This entry pairs a crystal structure of BaNpBeO5 with its simulated PXRD pattern. Radiation: CuKα. Structure: a cell relaxed with GGA-PBE.
Lines closer than 0.1° are merged.

Main lines, by angle (2θ from 10° to 90°):
| 2θ/deg | intensity |
| --- | --- |
| 16.64 | 678 |
| 18.91 | 256 |
| 24.74 | 1000 |
| 27.58 | 507 |
| 31.36 | 394 |
| 31.77 | 596 |
| 34.43 | 231 |
| 34.54 | 262 |
| 40.05 | 221 |
| 51.47 | 191 |

Cell and atoms:
a b c (Å): 5.886 5.886 7.887
angles (deg): 104.43 104.43 105.77
Fractional coordinates of all 16 atoms:
Ba (0.159, 0.841, 0.750)
Ba (0.841, 0.159, 0.250)
Np (0.500, 0.500, 0.000)
Np (0.500, 0.500, 0.500)
Be (0.192, 0.808, 0.250)
Be (0.808, 0.192, 0.750)
O (0.119, 0.277, 0.888)
O (0.217, 0.621, 0.386)
O (0.277, 0.119, 0.388)
O (0.379, 0.783, 0.114)
O (0.431, 0.569, 0.750)
O (0.569, 0.431, 0.250)
O (0.621, 0.217, 0.886)
O (0.723, 0.881, 0.612)
O (0.783, 0.379, 0.614)
O (0.881, 0.723, 0.112)

---

# 4
This entry pairs a crystal structure of Ba3NpBe2O6 with its simulated PXRD pattern. Radiation: CuKα. Structure: a cell relaxed with GGA-PBE.
Lines closer than 0.1° are merged.

Main lines, by angle (2θ from 10° to 90°):
| 2θ/deg | intensity |
| --- | --- |
| 11.77 | 347 |
| 17.67 | 403 |
| 21.28 | 309 |
| 29.69 | 1000 |
| 30.85 | 729 |
| 37.78 | 182 |
| 43.34 | 455 |
| 54.14 | 360 |
| 70.53 | 164 |
| 72.37 | 164 |

Cell and atoms:
a b c (Å): 5.797 5.797 7.520
angles (deg): 90.00 90.00 120.00
Fractional coordinates of all 12 atoms:
Ba (0.000, 0.000, 0.000)
Ba (0.333, 0.667, 0.694)
Ba (0.667, 0.333, 0.306)
Np (0.000, 0.000, 0.500)
Be (0.333, 0.667, 0.281)
Be (0.667, 0.333, 0.719)
O (0.179, 0.357, 0.316)
O (0.179, 0.821, 0.316)
O (0.357, 0.179, 0.684)
O (0.643, 0.821, 0.316)
O (0.821, 0.179, 0.684)
O (0.821, 0.643, 0.684)

---

# 5
This entry pairs a crystal structure of BaBe4Os3O12 with its simulated PXRD pattern. Radiation: CuKα. Structure: a cell relaxed with GGA-PBE.
Lines closer than 0.1° are merged.

Main lines, by angle (2θ from 10° to 90°):
| 2θ/deg | intensity |
| --- | --- |
| 17.10 | 1000 |
| 23.58 | 972 |
| 29.28 | 371 |
| 32.56 | 594 |
| 38.39 | 296 |
| 42.71 | 220 |
| 44.75 | 489 |
| 45.94 | 216 |
| 52.98 | 184 |
| 64.84 | 186 |

Cell and atoms:
a b c (Å): 6.420 6.420 6.420
angles (deg): 107.71 107.71 107.71
Fractional coordinates of all 20 atoms:
Ba (0.000, 0.000, 0.000)
Be (0.088, 0.500, 0.912)
Be (0.500, 0.500, 0.500)
Be (0.500, 0.912, 0.088)
Be (0.912, 0.088, 0.500)
Os (0.000, 0.579, 0.421)
Os (0.421, 0.000, 0.579)
Os (0.579, 0.421, 0.000)
O (0.065, 0.935, 0.500)
O (0.071, 0.639, 0.753)
O (0.247, 0.361, 0.929)
O (0.351, 0.649, 0.500)
O (0.361, 0.929, 0.247)
O (0.500, 0.065, 0.935)
O (0.500, 0.351, 0.649)
O (0.639, 0.753, 0.071)
O (0.649, 0.500, 0.351)
O (0.753, 0.071, 0.639)
O (0.929, 0.247, 0.361)
O (0.935, 0.500, 0.065)

---

# 6
This entry pairs a crystal structure of Ba2BeReO6 with its simulated PXRD pattern. Radiation: CuKα. Structure: a cell relaxed with GGA-PBE.
Lines closer than 0.1° are merged.

Main lines, by angle (2θ from 10° to 90°):
| 2θ/deg | intensity |
| --- | --- |
| 21.65 | 406 |
| 23.38 | 243 |
| 27.47 | 261 |
| 29.76 | 957 |
| 31.83 | 1000 |
| 42.53 | 213 |
| 44.13 | 350 |
| 55.43 | 323 |
| 56.71 | 303 |
| 66.51 | 276 |

Cell and atoms:
a b c (Å): 10.670 10.670 10.670
angles (deg): 30.56 30.56 30.56
Fractional coordinates of all 20 atoms:
Ba (0.128, 0.128, 0.128)
Ba (0.272, 0.272, 0.272)
Ba (0.728, 0.728, 0.728)
Ba (0.872, 0.872, 0.872)
Be (0.374, 0.374, 0.374)
Be (0.626, 0.626, 0.626)
Re (0.000, 0.000, 0.000)
Re (0.500, 0.500, 0.500)
O (0.145, 0.624, 0.624)
O (0.208, 0.208, 0.694)
O (0.208, 0.694, 0.208)
O (0.306, 0.792, 0.792)
O (0.376, 0.376, 0.855)
O (0.376, 0.855, 0.376)
O (0.624, 0.145, 0.624)
O (0.624, 0.624, 0.145)
O (0.694, 0.208, 0.208)
O (0.792, 0.306, 0.792)
O (0.792, 0.792, 0.306)
O (0.855, 0.376, 0.376)

---

# 7
This entry pairs a crystal structure of Ba3Be2RhO6 with its simulated PXRD pattern. Radiation: CuKα. Structure: a cell relaxed with GGA-PBE.
Lines closer than 0.1° are merged.

Main lines, by angle (2θ from 10° to 90°):
| 2θ/deg | intensity |
| --- | --- |
| 12.75 | 108 |
| 18.01 | 100 |
| 22.13 | 313 |
| 31.49 | 1000 |
| 38.79 | 197 |
| 45.14 | 270 |
| 56.03 | 283 |
| 56.20 | 92 |
| 65.65 | 85 |
| 74.65 | 88 |

Cell and atoms:
a b c (Å): 5.689 5.689 6.941
angles (deg): 90.00 90.00 120.00
Fractional coordinates of all 12 atoms:
Ba (0.000, 0.000, 0.000)
Ba (0.333, 0.667, 0.671)
Ba (0.667, 0.333, 0.329)
Be (0.333, 0.667, 0.274)
Be (0.667, 0.333, 0.726)
Rh (0.000, 0.000, 0.500)
O (0.177, 0.353, 0.293)
O (0.177, 0.823, 0.293)
O (0.353, 0.177, 0.707)
O (0.647, 0.823, 0.293)
O (0.823, 0.177, 0.707)
O (0.823, 0.647, 0.707)

---

# 8
This entry pairs a crystal structure of Ba2BeRhO4 with its simulated PXRD pattern. Radiation: CuKα. Structure: a cell relaxed with GGA-PBE.
Lines closer than 0.1° are merged.

Main lines, by angle (2θ from 10° to 90°):
| 2θ/deg | intensity |
| --- | --- |
| 19.14 | 1000 |
| 23.49 | 324 |
| 29.76 | 463 |
| 30.48 | 549 |
| 32.13 | 361 |
| 33.14 | 799 |
| 37.56 | 571 |
| 38.26 | 559 |
| 56.39 | 345 |
| 57.96 | 387 |

Cell and atoms:
a b c (Å): 10.820 9.647 6.170
angles (deg): 83.21 62.30 34.49
Fractional coordinates of all 16 atoms:
Ba (0.053, 0.053, 0.697)
Ba (0.303, 0.303, 0.947)
Ba (0.697, 0.697, 0.053)
Ba (0.947, 0.947, 0.303)
Be (0.375, 0.375, 0.375)
Be (0.625, 0.625, 0.625)
Rh (0.125, 0.125, 0.125)
Rh (0.875, 0.875, 0.875)
O (0.039, 0.637, 0.517)
O (0.307, 0.517, 0.637)
O (0.363, 0.961, 0.693)
O (0.483, 0.693, 0.961)
O (0.517, 0.307, 0.039)
O (0.637, 0.039, 0.307)
O (0.693, 0.483, 0.363)
O (0.961, 0.363, 0.483)

---

# 9
This entry pairs a crystal structure of Ba3TaBe2O8 with its simulated PXRD pattern. Radiation: CuKα. Structure: a cell relaxed with GGA-PBE.
Lines closer than 0.1° are merged.

Main lines, by angle (2θ from 10° to 90°):
| 2θ/deg | intensity |
| --- | --- |
| 12.01 | 230 |
| 18.38 | 277 |
| 22.02 | 361 |
| 30.52 | 1000 |
| 32.13 | 863 |
| 39.29 | 205 |
| 44.90 | 459 |
| 53.21 | 200 |
| 56.28 | 359 |
| 75.59 | 168 |

Cell and atoms:
a b c (Å): 5.572 5.572 7.370
angles (deg): 90.00 90.00 120.00
Fractional coordinates of all 14 atoms:
Ba (0.000, 0.000, 0.000)
Ba (0.333, 0.667, 0.692)
Ba (0.667, 0.333, 0.308)
Ta (0.000, 0.000, 0.500)
Be (0.333, 0.667, 0.259)
Be (0.667, 0.333, 0.741)
O (0.170, 0.339, 0.341)
O (0.170, 0.830, 0.341)
O (0.333, 0.667, 0.043)
O (0.339, 0.170, 0.659)
O (0.661, 0.830, 0.341)
O (0.667, 0.333, 0.957)
O (0.830, 0.170, 0.659)
O (0.830, 0.661, 0.659)

---

# 10
This entry pairs a crystal structure of Ba2Be2TlO6 with its simulated PXRD pattern. Radiation: CuKα. Structure: a cell relaxed with GGA-PBE.
Lines closer than 0.1° are merged.

Main lines, by angle (2θ from 10° to 90°):
| 2θ/deg | intensity |
| --- | --- |
| 18.75 | 480 |
| 27.41 | 421 |
| 31.52 | 1000 |
| 42.24 | 252 |
| 45.18 | 182 |
| 53.63 | 139 |
| 56.13 | 337 |
| 57.79 | 188 |
| 65.78 | 113 |
| 74.80 | 136 |

Cell and atoms:
a b c (Å): 6.651 6.651 6.651
angles (deg): 50.55 50.55 50.55
Fractional coordinates of all 11 atoms:
Ba (0.218, 0.218, 0.218)
Ba (0.782, 0.782, 0.782)
Be (0.416, 0.416, 0.416)
Be (0.584, 0.584, 0.584)
Tl (0.000, 0.000, 0.000)
O (0.261, 0.261, 0.733)
O (0.261, 0.733, 0.261)
O (0.267, 0.739, 0.739)
O (0.733, 0.261, 0.261)
O (0.739, 0.267, 0.739)
O (0.739, 0.739, 0.267)

---

# 11
This entry pairs a crystal structure of BaBePd with its simulated PXRD pattern. Radiation: CuKα. Structure: a cell relaxed with GGA-PBE.
Lines closer than 0.1° are merged.

Main lines, by angle (2θ from 10° to 90°):
| 2θ/deg | intensity |
| --- | --- |
| 26.43 | 338 |
| 29.34 | 1000 |
| 29.81 | 461 |
| 30.99 | 396 |
| 32.04 | 721 |
| 38.37 | 195 |
| 39.03 | 323 |
| 45.37 | 259 |
| 54.31 | 220 |
| 58.55 | 194 |

Cell and atoms:
a b c (Å): 12.291 3.998 6.384
angles (deg): 90.00 110.12 90.00
Fractional coordinates of all 12 atoms:
Ba (0.097, 0.000, 0.303)
Ba (0.403, 0.500, 0.697)
Ba (0.597, 0.500, 0.303)
Ba (0.903, 0.000, 0.697)
Be (0.219, 0.000, 0.905)
Be (0.281, 0.500, 0.095)
Be (0.719, 0.500, 0.905)
Be (0.781, 0.000, 0.095)
Pd (0.134, 0.500, 0.764)
Pd (0.366, 0.000, 0.236)
Pd (0.634, 0.000, 0.764)
Pd (0.866, 0.500, 0.236)

---

# 12
This entry pairs a crystal structure of Rb2BaBe2Se4 with its simulated PXRD pattern. Radiation: CuKα. Structure: a cell relaxed with GGA-PBE.
Lines closer than 0.1° are merged.

Main lines, by angle (2θ from 10° to 90°):
| 2θ/deg | intensity |
| --- | --- |
| 11.10 | 185 |
| 11.96 | 175 |
| 29.47 | 1000 |
| 31.11 | 353 |
| 34.38 | 555 |
| 36.04 | 259 |
| 40.93 | 183 |
| 43.36 | 179 |
| 51.07 | 167 |
| 54.33 | 180 |

Cell and atoms:
a b c (Å): 8.667 8.667 9.058
angles (deg): 117.46 117.46 27.86
Fractional coordinates of all 9 atoms:
Rb (0.123, 0.123, 0.076)
Rb (0.877, 0.877, 0.924)
Ba (0.000, 0.000, 0.500)
Be (0.327, 0.327, 0.546)
Be (0.673, 0.673, 0.454)
Se (0.216, 0.216, 0.622)
Se (0.469, 0.469, 0.739)
Se (0.531, 0.531, 0.261)
Se (0.784, 0.784, 0.378)